(1)
Computed powder XRD pattern
Compound: LiTm2Tc
Radiation: CuKα
Structure: a structure optimized by DFT (PBE)

Top 8 peaks for 10 to 90 degrees two-theta, most intense first:
| hkl | two_theta | Rel. int. |
| --- | --- | --- |
| 2 2 0 | 36.89 | 100.0 |
| 4 2 2 | 66.45 | 35.7 |
| 2 0 0 | 25.85 | 33.7 |
| 4 0 0 | 53.15 | 17.5 |
| 4 2 0 | 60.03 | 13.6 |
| 1 1 1 | 22.34 | 11.6 |
| 4 4 0 | 78.50 | 11.1 |
| 2 2 2 | 45.59 | 10.1 |

Atomic structure:
```
data_LiTm2Tc
_cell_length_a 6.8924
_cell_length_b 6.8924
_cell_length_c 6.8924
_cell_angle_alpha 90.00
_cell_angle_beta 90.00
_cell_angle_gamma 90.00
_space_group_name_H-M_alt 'F m -3 m'
_space_group_IT_number 225
_space_group_name_Hall '-F 4 2 3'
loop_
_atom_site_label
_atom_site_fract_x
_atom_site_fract_y
_atom_site_fract_z
Li1 0.0000 0.0000 0.0000
Tm1 0.2500 0.2500 0.2500
Tc1 0.0000 0.0000 0.5000
```

***

(2)
Computed powder XRD pattern
Compound: LiZr2Tc
Radiation: CuKα
Structure: a structure optimized by DFT (PBE)

Top 8 peaks for 10 to 90 degrees two-theta, most intense first:
| hkl | two_theta | Rel. int. |
| --- | --- | --- |
| 2 2 0 | 38.42 | 100.0 |
| 4 2 2 | 69.48 | 33.2 |
| 1 1 1 | 23.25 | 27.1 |
| 4 0 0 | 55.46 | 16.8 |
| 3 1 1 | 45.39 | 13.2 |
| 4 4 0 | 82.30 | 10.3 |
| 2 0 0 | 26.91 | 10.0 |
| 3 3 1 | 60.93 | 5.4 |

Atomic structure:
```
data_LiZr2Tc
_cell_length_a 6.6276
_cell_length_b 6.6276
_cell_length_c 6.6276
_cell_angle_alpha 90.00
_cell_angle_beta 90.00
_cell_angle_gamma 90.00
_space_group_name_H-M_alt 'F m -3 m'
_space_group_IT_number 225
_space_group_name_Hall '-F 4 2 3'
loop_
_atom_site_label
_atom_site_fract_x
_atom_site_fract_y
_atom_site_fract_z
Li1 0.0000 0.0000 0.0000
Zr1 0.2500 0.2500 0.2500
Tc1 0.0000 0.0000 0.5000
```

***

(3)
Computed powder XRD pattern
Compound: LiTe3
Radiation: CuKα
Structure: a structure optimized by DFT (PBE)

Top 8 peaks for 10 to 90 degrees two-theta, most intense first:
| hkl | two_theta | Rel. int. |
| --- | --- | --- |
| 0 2 4 | 28.76 | 100.0 |
| 2 0 8 | 41.13 | 73.8 |
| 1 1 0 | 20.23 | 48.4 |
| 2 2 12 | 67.47 | 31.3 |
| 0 0 12 | 50.96 | 25.7 |
| 0 2 16 | 74.94 | 22.5 |
| 0 1 8 | 35.42 | 21.7 |
| 3 1 8 | 55.37 | 11.9 |

Atomic structure:
```
data_LiTe3
_cell_length_a 8.7781
_cell_length_b 8.7781
_cell_length_c 21.5124
_cell_angle_alpha 90.00
_cell_angle_beta 90.00
_cell_angle_gamma 120.00
_space_group_name_H-M_alt 'P -3 c 1'
_space_group_IT_number 165
_space_group_name_Hall '-P 3 2"c'
loop_
_atom_site_label
_atom_site_fract_x
_atom_site_fract_y
_atom_site_fract_z
Li1 0.0000 0.0000 0.0000
Li2 0.0000 0.0000 0.2500
Li3 0.3333 0.6667 0.1654
Li4 0.3333 0.6667 0.4179
Te1 0.0000 0.4782 0.2500
Te2 0.0000 0.5000 0.0000
Te3 0.1473 0.3303 0.3342
Te4 0.1595 0.3368 0.0827
```